Starting from DFT lattice parameters and positions (GGA+U), the PXRD pattern of NiTeO2 was calculated for copper Kα.
Intensities are scaled so that the largest is 100.

Atomic structure:
Cell: 3.147 3.147 18.635 Å, 90.00 90.00 120.00°
Fractional positions:
Ni1 0.000 0.000 0.000
Ni2 0.333 0.667 0.667
Ni3 0.667 0.333 0.333
Te1 0.000 0.000 0.500
Te2 0.333 0.667 0.167
Te3 0.667 0.333 0.833
O1 0.000 0.000 0.389
O2 0.000 0.000 0.611
O3 0.333 0.667 0.056
O4 0.333 0.667 0.277
O5 0.667 0.333 0.723
O6 0.667 0.333 0.944

The 10 most intense peaks (5° ≤ 2θ ≤ 70°), in order of rising 2θ:
2θ 14.26, I 11.5; 2θ 28.74, I 41.0; 2θ 33.23, I 20.2; 2θ 34.28, I 100.0; 2θ 38.26, I 48.7; 2θ 51.62, I 35.5; 2θ 58.68, I 25.1; 2θ 60.15, I 21.9; 2θ 66.63, I 22.2; 2θ 69.75, I 11.7